Calculated X-ray powder pattern
Compound: Rb4NiF6
Radiation: λ = 1.5418 Å (Cu Kα)
Structure: a GGA+U-relaxed structure
Lines closer than 0.1° are merged.

Principal peaks in the range 10 to 90 degrees two-theta, low angle first:
d 3.408, 2θ = 26.1°, I = 79.3
d 3.061, 2θ = 29.2°, I = 100.0
d 2.699, 2θ = 33.2°, I = 25.7
d 2.405, 2θ = 37.4°, I = 31.2
d 2.277, 2θ = 39.6°, I = 61.0
d 1.782, 2θ = 51.3°, I = 27.7

Atomic structure:
```
Rb4NiF6
1.0
5.303 3.061 4.449
-5.303 3.061 4.449
0.000 -6.123 4.449
Rb Ni F
8 2 12
Direct
0.116 0.750 0.384
0.250 0.250 0.250
0.250 0.616 0.884
0.384 0.116 0.750
0.616 0.884 0.250
0.750 0.384 0.116
0.750 0.750 0.750
0.884 0.250 0.616
0.000 0.000 0.000
0.500 0.500 0.500
0.059 0.932 0.741
0.068 0.259 0.941
0.241 0.432 0.559
0.259 0.941 0.068
0.432 0.559 0.241
0.441 0.759 0.568
0.559 0.241 0.432
0.568 0.441 0.759
0.741 0.059 0.932
0.759 0.568 0.441
0.932 0.741 0.059
0.941 0.068 0.259
```